No. 1
For NdAsPd, a crystal structure in the Materials Project, relaxed with GGA-PBE gives the simulated X-ray powder pattern in this record (Cu Kα).
Intensities are scaled so that the largest is 100.

Principal peaks in the range 10 to 80 degrees two-theta, low angle first:
| h k l | 2theta | I_rel |
| --- | --- | --- |
| 1 0 0 | 23.4 | 5 |
| 1 0 1 | 26.1 | 3 |
| 1 0 2 | 32.8 | 100 |
| 1 1 0 | 41.1 | 53 |
| 0 0 4 | 46.4 | 12 |
| 2 0 2 | 53.6 | 25 |
| 1 1 4 | 63.7 | 27 |
| 2 1 2 | 69.7 | 22 |
| 3 0 0 | 74.9 | 9 |
| 1 0 6 | 77.4 | 8 |

Structure:
a b c (Å): 4.3912 4.3912 7.8229
angles (deg): 90.00 90.00 120.00
Space group P6_3mc (No. 186)
Unique sites:
1 Nd 0.0000 0.0000 0.0000 [2 per cell]
2 As 0.3333 0.6667 0.2636 [2 per cell]
3 Pd 0.3333 0.6667 0.7365 [2 per cell]

=====

No. 2
For Mg6SiNi, a crystal structure in the Materials Project, relaxed with GGA-PBE gives the simulated X-ray powder pattern in this record (Cu Kα).
Intensities are scaled so that the largest is 100.

Principal peaks in the range 10 to 80 degrees two-theta, low angle first:
| h k l | 2theta | I_rel |
| --- | --- | --- |
| 0 1 1 | 16.8 | 23 |
| 0 0 2 | 16.9 | 13 |
| 0 2 2 | 33.9 | 29 |
| 2 0 0 | 38.6 | 36 |
| 1 2 2 | 39.1 | 100 |
| 1 0 4 | 39.5 | 50 |
| 2 2 2 | 52.2 | 16 |
| 0 2 6 | 61.1 | 16 |
| 3 2 2 | 70.1 | 16 |
| 2 2 6 | 74.6 | 29 |

Structure:
a b c (Å): 4.6701 6.1346 10.4642
angles (deg): 90.00 90.00 90.00
Space group Amm2 (No. 38)
Unique sites:
1 Mg 0.0000 0.0000 0.0000 [2 per cell]
2 Mg 0.0000 0.2357 0.7411 [4 per cell]
3 Mg 0.5000 0.0000 0.1696 [2 per cell]
4 Mg 0.5000 0.2413 0.4247 [4 per cell]
5 Si 0.0000 0.0000 0.5110 [2 per cell]
6 Ni 0.5000 0.0000 0.6493 [2 per cell]